No. 1
# Ba4NaSr4
Calculated powder diffraction line list, copper Kα. Input: a cell relaxed with GGA-PBE.
Neutral-atom scattering factors, no anomalous dispersion.

Structural model:
```
data_Ba4NaSr4
_chemical_formula_sum 'Ba8 Na2 Sr8'
_cell_length_a 12.703
_cell_length_b 12.703
_cell_length_c 6.423
_cell_angle_alpha 90.00
_cell_angle_beta 90.00
_cell_angle_gamma 90.00
_space_group_name_H-M_alt 'I 4/m m m'
_space_group_IT_number 139
_space_group_name_Hall '-I 4 2'
loop_
_atom_site_label
_atom_site_type_symbol
_atom_site_fract_x
_atom_site_fract_y
_atom_site_fract_z
_atom_site_occupancy
Ba1 Ba 0.000 0.324 0.000 1
Na1 Na 0.000 0.000 0.000 1
Sr1 Sr 0.164 0.164 0.500 1
```

Principal peaks in the range 2θ from 10° to 80°, by angle:
2θ/deg  I (rel.)
20.88  11
25.19  100
27.78  20
29.84  32
41.22  26
42.71  12
47.59  18
50.23  29
51.71  13
65.84  13
66.02  6
77.18  8

---

No. 2
# Sr2Cd3As2O2
Calculated powder diffraction line list, copper Kα. Input: a cell relaxed with GGA-PBE.
Neutral-atom scattering factors, no anomalous dispersion.

Structural model:
```
data_Sr2Cd3As2O2
_chemical_formula_sum 'Sr4 Cd6 As4 O4'
_cell_length_a 4.417
_cell_length_b 4.417
_cell_length_c 19.549
_cell_angle_alpha 90.00
_cell_angle_beta 90.00
_cell_angle_gamma 90.00
_space_group_name_H-M_alt 'I 4/m m m'
_space_group_IT_number 139
_space_group_name_Hall '-I 4 2'
loop_
_atom_site_label
_atom_site_type_symbol
_atom_site_fract_x
_atom_site_fract_y
_atom_site_fract_z
_atom_site_occupancy
Sr1 Sr 0.000 0.000 0.082 1
Cd1 Cd 0.000 0.000 0.500 1
Cd2 Cd 0.000 0.500 0.250 1
As1 As 0.000 0.000 0.339 1
O1 O 0.000 0.500 0.000 1
```

Principal peaks in the range 2θ from 10° to 80°, by angle:
2θ/deg  I (rel.)
18.15  31
30.03  100
30.53  88
34.06  70
38.12  68
39.99  34
40.86  97
47.23  20
51.85  39
57.11  41
59.16  31
72.03  33